Entry 1:
Computed powder diffractogram of K3NaZn2Sn2 for Cu Kα X-rays, from a DFT-relaxed cell (PBE, OQMD).

The 10 most intense peaks (2θ = 10–80°), most intense first:
hkl, 2θ (°), I (rel.)
1 0 -1, 16.65, 100
1 1 -2, 30.70, 76
2 1 -1, 31.33, 62
1 2 1, 36.34, 61
1 1 0, 19.96, 59
0 1 1, 19.64, 45
0 2 2, 39.89, 39
2 0 -2, 33.64, 37
2 2 0, 40.55, 31
3 2 -1, 50.92, 24

```
data_K3NaZn2Sn2
_symmetry_space_group_name_H-M 'P 1 m 1'
_symmetry_Int_Tables_number 6
_symmetry_space_group_name_Hall 'P -2y'
_cell_length_a 6.609
_cell_length_b 6.201
_cell_length_c 6.833
_cell_angle_alpha 90.00
_cell_angle_beta 104.87
_cell_angle_gamma 90.00
loop_
_atom_site_label
_atom_site_type_symbol
_atom_site_fract_x
_atom_site_fract_y
_atom_site_fract_z
K1 K 0.000 0.000 0.000
K2 K 0.064 0.500 0.365
K3 K 0.363 0.000 0.669
Na1 Na 0.710 0.500 0.704
Zn1 Zn 0.536 0.248 0.196
Sn1 Sn 0.299 0.500 0.921
Sn2 Sn 0.798 0.000 0.453
```

***

Entry 2:
Computed powder diffractogram of KNaU for Cu Kα X-rays, from a DFT-relaxed cell (PBE, OQMD).

The 10 most intense peaks (2θ = 10–80°), most intense first:
hkl, 2θ (°), I (rel.)
2 2 0, 30.67, 100
1 1 1, 18.64, 87
2 0 0, 21.56, 82
3 1 1, 36.14, 54
4 2 2, 54.53, 39
4 2 0, 49.44, 37
2 2 2, 37.80, 26
3 3 1, 48.11, 25
5 3 1, 67.18, 20
5 1 1, 58.15, 20

```
data_KNaU
_symmetry_space_group_name_H-M 'F -4 3 m'
_symmetry_Int_Tables_number 216
_symmetry_space_group_name_Hall 'F -4 2 3'
_cell_length_a 8.244
_cell_length_b 8.244
_cell_length_c 8.244
_cell_angle_alpha 90.00
_cell_angle_beta 90.00
_cell_angle_gamma 90.00
loop_
_atom_site_label
_atom_site_type_symbol
_atom_site_fract_x
_atom_site_fract_y
_atom_site_fract_z
K1 K 0.000 0.000 0.000
Na1 Na 0.250 0.250 0.250
U1 U 0.000 0.000 0.500
```

***

Entry 3:
Computed powder diffractogram of K2Nb2O5 for Cu Kα X-rays, from a DFT-relaxed cell (PBE, OQMD).

The 10 most intense peaks (2θ = 10–80°), most intense first:
hkl, 2θ (°), I (rel.)
1 0 1, 31.50, 100
1 2 0, 31.38, 38
2 2 1, 55.93, 36
2 0 0, 44.97, 33
0 2 0, 22.05, 30
0 0 1, 22.21, 25
2 0 2, 65.76, 19
0 4 1, 50.67, 16
0 0 2, 45.32, 16
1 2 2, 56.16, 14

```
data_K2Nb2O5
_symmetry_space_group_name_H-M 'P m m 2'
_symmetry_Int_Tables_number 25
_symmetry_space_group_name_Hall 'P 2 -2'
_cell_length_a 4.031
_cell_length_b 8.065
_cell_length_c 4.002
_cell_angle_alpha 90.00
_cell_angle_beta 90.00
_cell_angle_gamma 90.00
loop_
_atom_site_label
_atom_site_type_symbol
_atom_site_fract_x
_atom_site_fract_y
_atom_site_fract_z
K1 K 0.000 0.244 0.000
Nb1 Nb 0.500 0.000 0.496
Nb2 Nb 0.500 0.500 0.501
O1 O 0.000 0.000 0.497
O2 O 0.000 0.500 0.500
O3 O 0.500 0.000 0.996
O4 O 0.500 0.256 0.497
```